# 1
Computed powder XRD pattern
Compound: SrZnH6O5
Radiation: CuKα
Structure: a structure optimized by DFT (GGA-PBE)
No peak broadening, texture or thermal motion is included.

Structural model:
Unit cell a=6.195 b=6.472 c=7.754 alpha=90.14 beta=113.05 gamma=107.25
Space group P-1 (No. 2)
Symmetry-distinct sites (fractional):
Sr (0.188, 0.398, 0.247) [2 per cell]
Zn (0.132, 0.240, 0.733) [2 per cell]
H (0.301, 0.813, 0.524) [2 per cell]
H (0.305, 0.041, 0.067) [2 per cell]
H (0.309, 0.942, 0.817) [2 per cell]
H (0.329, 0.976, 0.275) [2 per cell]
H (0.360, 0.595, 0.944) [2 per cell]
H (0.417, 0.220, 0.593) [2 per cell]
O (0.174, 0.968, 0.840) [2 per cell]
O (0.207, 0.484, 0.932) [2 per cell]
O (0.223, 0.780, 0.386) [2 per cell]
O (0.344, 0.334, 0.595) [2 per cell]
O (0.394, 0.098, 0.208) [2 per cell]

The 12 most intense peaks (2θ = 10–80°), in order of rising 2θ:
| 2theta | I_rel | h k l |
| --- | --- | --- |
| 14.5 | 23.7 | 0 1 0 |
| 16.4 | 29.8 | 1 0 0 |
| 18.1 | 27.7 | 1 -1 0 |
| 23.8 | 19.9 | 1 0 -2 |
| 24.0 | 25.5 | 1 1 -1 |
| 25.2 | 100.0 | 0 0 2 |
| 28.5 | 25.4 | 1 -2 0 |
| 28.9 | 26.8 | 1 1 -2 |
| 30.0 | 24.9 | -1 2 1 |
| 31.6 | 24.0 | 2 -1 0 |
| 32.4 | 30.2 | -2 1 2 |
| 48.0 | 26.8 | 0 3 1 |

# 2
Computed powder XRD pattern
Compound: Sr2ZnH6O6
Radiation: CuKα
Structure: a structure optimized by DFT (GGA-PBE)
No peak broadening, texture or thermal motion is included.

Structural model:
Unit cell a=6.849 b=6.244 c=8.594 alpha=90.00 beta=112.54 gamma=90.00
Space group P2_1/c (No. 14)
Symmetry-distinct sites (fractional):
Sr (0.178, 0.033, 0.370) [4 per cell]
Zn (0.500, 0.000, 0.000) [2 per cell]
H (0.160, 0.661, 0.551) [4 per cell]
H (0.248, 0.707, 0.628) [4 per cell]
H (0.406, 0.209, 0.650) [4 per cell]
O (0.163, 0.172, 0.666) [4 per cell]
O (0.178, 0.070, 0.830) [4 per cell]
O (0.481, 0.717, 0.897) [4 per cell]

The 12 most intense peaks (2θ = 10–80°), in order of rising 2θ:
| 2theta | I_rel | h k l |
| --- | --- | --- |
| 21.4 | 100.0 | 1 0 -2 |
| 25.5 | 71.9 | 1 1 1 |
| 28.6 | 29.1 | 0 2 0 |
| 29.8 | 52.0 | 2 1 -1 |
| 36.0 | 48.1 | 1 2 -2 |
| 36.9 | 27.9 | 0 1 3 |
| 42.9 | 40.8 | 3 0 0 |
| 45.9 | 23.8 | 3 1 -3 |
| 48.8 | 17.4 | 1 3 1 |
| 51.4 | 18.0 | 2 3 -1 |
| 52.3 | 25.4 | 2 2 2 |
| 61.8 | 15.8 | 4 2 -2 |

# 3
Computed powder XRD pattern
Compound: Ta2H4O7
Radiation: CuKα
Structure: a structure optimized by DFT (GGA-PBE)
No peak broadening, texture or thermal motion is included.

Structural model:
Unit cell a=10.604 b=10.558 c=7.417 alpha=90.00 beta=132.83 gamma=90.00
Space group Cc (No. 9)
Symmetry-distinct sites (fractional):
Ta (0.000, 0.000, 0.000) [4 per cell]
Ta (0.251, 0.243, 0.487) [4 per cell]
H (0.007, 0.423, 0.263) [4 per cell]
H (0.148, 0.401, 0.013) [4 per cell]
H (0.214, 0.365, 0.771) [4 per cell]
H (0.474, 0.146, 0.261) [4 per cell]
O (0.068, 0.414, 0.833) [4 per cell]
O (0.159, 0.132, 0.588) [4 per cell]
O (0.172, 0.126, 0.235) [4 per cell]
O (0.291, 0.371, 0.740) [4 per cell]
O (0.310, 0.372, 0.379) [4 per cell]
O (0.479, 0.444, 0.231) [4 per cell]
O (0.493, 0.172, 0.737) [4 per cell]

The 12 most intense peaks (2θ = 10–80°), in order of rising 2θ:
| 2theta | I_rel | h k l |
| --- | --- | --- |
| 14.1 | 98.1 | 1 1 0 |
| 14.6 | 100.0 | 1 1 -1 |
| 27.0 | 21.8 | 1 1 1 |
| 27.5 | 19.7 | 3 1 -1 |
| 27.7 | 22.5 | 1 1 -2 |
| 27.8 | 19.7 | 1 3 0 |
| 28.1 | 20.7 | 1 3 -1 |
| 28.2 | 22.0 | 3 1 -2 |
| 28.5 | 71.5 | 2 2 0 |
| 29.4 | 56.6 | 2 2 -2 |
| 48.0 | 18.9 | 0 4 2 |
| 48.7 | 19.4 | 4 4 -2 |

# 4
Computed powder XRD pattern
Compound: Ta2HO5
Radiation: CuKα
Structure: a structure optimized by DFT (GGA-PBE)
No peak broadening, texture or thermal motion is included.

Structural model:
Unit cell a=3.915 b=10.752 c=10.013 alpha=90.00 beta=90.00 gamma=90.00
Space group Cmc2_1 (No. 36)
Symmetry-distinct sites (fractional):
Ta (0.000, 0.138, 0.000) [4 per cell]
Ta (0.000, 0.146, 0.372) [4 per cell]
H (0.000, 0.055, 0.712) [4 per cell]
O (0.000, 0.034, 0.810) [4 per cell]
O (0.000, 0.036, 0.539) [4 per cell]
O (0.000, 0.184, 0.183) [4 per cell]
O (0.000, 0.312, 0.893) [4 per cell]
O (0.000, 0.321, 0.471) [4 per cell]

The 12 most intense peaks (2θ = 10–80°), in order of rising 2θ:
| 2theta | I_rel | h k l |
| --- | --- | --- |
| 17.7 | 100.0 | 0 0 2 |
| 18.7 | 53.0 | 0 2 1 |
| 24.2 | 93.3 | 1 1 0 |
| 25.8 | 29.3 | 1 1 1 |
| 30.1 | 30.4 | 1 1 2 |
| 31.6 | 71.6 | 0 2 3 |
| 33.3 | 28.5 | 0 4 0 |
| 33.9 | 43.9 | 1 3 0 |
| 36.3 | 46.3 | 1 1 3 |
| 48.5 | 26.5 | 0 2 5 |
| 56.0 | 29.6 | 1 5 3 |
| 57.2 | 27.2 | 2 2 3 |

# 5
Computed powder XRD pattern
Compound: Ta2H4O7
Radiation: CuKα
Structure: a structure optimized by DFT (GGA-PBE)
No peak broadening, texture or thermal motion is included.

Structural model:
Unit cell a=10.196 b=10.853 c=10.980 alpha=90.00 beta=90.00 gamma=90.00
Space group Fddd (No. 70, origin choice 2)
Symmetry-distinct sites (fractional):
Ta (0.000, 0.000, 0.000) [16 per cell]
H (0.070, 0.375, 0.875) [16 per cell]
H (0.125, 0.037, 0.625) [16 per cell]
O (0.083, 0.375, 0.375) [16 per cell]
O (0.125, 0.125, 0.299) [16 per cell]
O (0.125, 0.125, 0.625) [8 per cell]
O (0.125, 0.305, 0.125) [16 per cell]

The 12 most intense peaks (2θ = 10–80°), in order of rising 2θ:
| 2theta | I_rel | h k l |
| --- | --- | --- |
| 14.4 | 100.0 | 1 1 1 |
| 27.2 | 25.0 | 1 1 3 |
| 27.4 | 23.6 | 1 3 1 |
| 28.7 | 18.6 | 3 1 1 |
| 29.0 | 66.2 | 2 2 2 |
| 44.1 | 10.2 | 3 3 3 |
| 47.1 | 10.5 | 0 4 4 |
| 48.8 | 10.5 | 4 0 4 |
| 49.0 | 10.4 | 4 4 0 |
| 56.0 | 14.3 | 2 2 6 |
| 56.5 | 10.4 | 2 6 2 |
| 59.4 | 9.0 | 6 2 2 |

# 6
Computed powder XRD pattern
Compound: TbHO2
Radiation: CuKα
Structure: a structure optimized by DFT (GGA-PBE)
No peak broadening, texture or thermal motion is included.

Structural model:
Unit cell a=3.5577 b=3.5577 c=13.8033 alpha=90.00 beta=90.00 gamma=120.00
Space group R-3m (No. 166, hexagonal axes)
Symmetry-distinct sites (fractional):
Tb (0.0000, 0.0000, 0.0000) [3 per cell]
H (0.0000, 0.0000, 0.5000) [3 per cell]
O (0.0000, 0.0000, 0.4114) [6 per cell]

The 12 most intense peaks (2θ = 10–80°), in order of rising 2θ:
| 2theta | I_rel | h k l |
| --- | --- | --- |
| 19.3 | 95.7 | 0 0 3 |
| 29.7 | 62.6 | 1 0 1 |
| 31.8 | 100.0 | 0 1 2 |
| 39.2 | 46.4 | 1 0 4 |
| 44.0 | 46.3 | 0 1 5 |
| 51.4 | 30.2 | 1 1 0 |
| 55.4 | 56.6 | 1 0 7 |
| 60.5 | 9.6 | 0 2 1 |
| 61.7 | 25.8 | 2 0 2 |
| 66.4 | 22.3 | 0 2 4 |
| 69.9 | 11.0 | 2 0 5 |
| 75.5 | 8.5 | 1 0 10 |

# 7
Computed powder XRD pattern
Compound: TlTe2H2O6
Radiation: CuKα
Structure: a structure optimized by DFT (GGA-PBE)
No peak broadening, texture or thermal motion is included.

Structural model:
Unit cell a=5.471 b=5.783 c=5.939 alpha=83.46 beta=80.41 gamma=64.76
Space group P-1 (No. 2)
Symmetry-distinct sites (fractional):
Tl (0.000, 0.000, 0.000) [1 per cell]
Te (0.326, 0.357, 0.433) [2 per cell]
H (0.337, 0.360, 0.994) [2 per cell]
O (0.028, 0.691, 0.390) [2 per cell]
O (0.308, 0.249, 0.128) [2 per cell]
O (0.401, 0.506, 0.715) [2 per cell]

The 12 most intense peaks (2θ = 10–80°), in order of rising 2θ:
| 2theta | I_rel | h k l |
| --- | --- | --- |
| 22.3 | 100.0 | 1 1 1 |
| 23.4 | 82.5 | 0 1 -1 |
| 25.2 | 48.1 | 1 0 -1 |
| 29.7 | 55.3 | 1 -1 0 |
| 30.6 | 25.1 | 0 0 2 |
| 31.4 | 31.5 | 1 2 0 |
| 33.3 | 37.4 | 2 1 0 |
| 41.3 | 20.8 | 1 2 2 |
| 44.1 | 20.6 | 2 2 -1 |
| 47.4 | 23.3 | 1 1 3 |
| 51.8 | 18.3 | 1 3 -1 |
| 56.3 | 19.2 | 3 0 0 |

# 8
Computed powder XRD pattern
Compound: Ti6HO2
Radiation: CuKα
Structure: a structure optimized by DFT (GGA-PBE)
No peak broadening, texture or thermal motion is included.

Structural model:
Unit cell a=4.758 b=5.196 c=8.946 alpha=90.00 beta=90.00 gamma=90.00
Space group Pnnm (No. 58)
Symmetry-distinct sites (fractional):
Ti (0.233, 0.164, 0.000) [4 per cell]
Ti (0.249, 0.169, 0.327) [8 per cell]
H (0.000, 0.000, 0.500) [2 per cell]
O (0.000, 0.500, 0.338) [4 per cell]

The 12 most intense peaks (2θ = 10–80°), in order of rising 2θ:
| 2theta | I_rel | h k l |
| --- | --- | --- |
| 34.5 | 7.5 | 0 2 0 |
| 34.7 | 13.9 | 0 1 3 |
| 37.8 | 29.6 | 2 0 0 |
| 39.5 | 50.5 | 1 2 0 |
| 39.7 | 100.0 | 1 1 3 |
| 52.1 | 10.5 | 2 2 0 |
| 52.2 | 20.1 | 2 1 3 |
| 62.0 | 19.0 | 0 3 3 |
| 62.3 | 9.1 | 0 0 6 |
| 69.5 | 23.4 | 3 1 3 |
| 74.9 | 13.6 | 2 3 3 |
| 76.3 | 11.5 | 1 2 6 |